# 1
# Zn7Pd2Au3
Simulated XRD peak list, λ = 1.5418 Å (Cu Kα). Input: a crystal structure in Alexandria, relaxed with GGA-PBE.
No peak broadening, texture or thermal motion is included.

Largest 12 diffraction maxima, by angle, 2θ from 15° to 90°:
d = 4.117 Å, 2θ = 21.6°, rel. 18.4; d = 4.060 Å, 2θ = 21.9°, rel. 11.2; d = 2.822 Å, 2θ = 31.7°, rel. 16.0; d = 2.684 Å, 2θ = 33.4°, rel. 11.4; d = 2.463 Å, 2θ = 36.5°, rel. 22.7; d = 2.213 Å, 2θ = 40.8°, rel. 100.0; d = 2.058 Å, 2θ = 44.0°, rel. 34.8; d = 1.963 Å, 2θ = 46.2°, rel. 21.0; d = 1.420 Å, 2θ = 65.7°, rel. 20.6; d = 1.216 Å, 2θ = 78.7°, rel. 14.2; d = 1.182 Å, 2θ = 81.4°, rel. 11.0; d = 1.176 Å, 2θ = 81.9°, rel. 12.8

Cell and atoms:
```
Zn7Pd2Au3
1.0
2.058 -12.352 0.000
2.058 12.352 0.000
0.000 0.000 3.926
Zn Pd Au
7 2 3
Cartesian
0.000 0.000 0.000
2.058 10.345 1.963
2.058 5.530 0.000
2.058 1.935 0.000
2.058 -1.935 0.000
2.058 -5.530 0.000
2.058 -10.345 1.963
2.058 8.438 0.000
2.058 -8.438 0.000
2.058 3.775 1.963
2.058 0.000 1.963
2.058 -3.775 1.963
```


# 2
# Zn5Pd12Au2
Simulated XRD peak list, λ = 1.5418 Å (Cu Kα). Input: a crystal structure in Alexandria, relaxed with GGA-PBE.
No peak broadening, texture or thermal motion is included.

Largest 12 diffraction maxima, by angle, 2θ from 15° to 90°:
d = 2.924 Å, 2θ = 30.6°, rel. 12.6; d = 2.267 Å, 2θ = 39.8°, rel. 83.2; d = 2.238 Å, 2θ = 40.3°, rel. 100.0; d = 2.214 Å, 2θ = 40.8°, rel. 25.7; d = 2.065 Å, 2θ = 43.8°, rel. 38.0; d = 2.028 Å, 2θ = 44.7°, rel. 32.8; d = 1.794 Å, 2θ = 50.9°, rel. 18.1; d = 1.462 Å, 2θ = 63.6°, rel. 10.4; d = 1.432 Å, 2θ = 65.1°, rel. 12.8; d = 1.354 Å, 2θ = 69.4°, rel. 11.7; d = 1.232 Å, 2θ = 77.5°, rel. 10.4; d = 1.218 Å, 2θ = 78.5°, rel. 10.6

Cell and atoms:
```
Zn5Pd12Au2
1.0
6.384 -3.587 0.000
6.384 3.587 0.000
-0.037 0.000 6.560
Zn Pd Au
5 12 2
Cartesian
0.000 0.000 0.000
3.162 0.000 0.180
4.448 0.000 3.746
8.284 0.000 2.814
9.569 0.000 6.380
3.892 2.086 1.858
2.082 0.000 2.446
5.010 1.584 5.856
7.721 1.584 0.704
8.840 2.086 4.702
5.645 0.000 1.468
7.087 0.000 5.092
3.892 -2.086 1.858
5.010 -1.584 5.856
7.721 -1.584 0.704
10.649 0.000 4.114
8.840 -2.086 4.702
6.366 2.037 3.280
6.366 -2.037 3.280
```


# 3
# Zn2Pd3Au
Simulated XRD peak list, λ = 1.5418 Å (Cu Kα). Input: a crystal structure in Alexandria, relaxed with GGA-PBE.
No peak broadening, texture or thermal motion is included.

Largest 12 diffraction maxima, by angle, 2θ from 15° to 90°:
d = 2.852 Å, 2θ = 31.4°, rel. 10.3; d = 2.585 Å, 2θ = 34.7°, rel. 4.5; d = 2.573 Å, 2θ = 34.9°, rel. 12.3; d = 2.249 Å, 2θ = 40.1°, rel. 100.0; d = 2.098 Å, 2θ = 43.1°, rel. 43.3; d = 1.724 Å, 2θ = 53.1°, rel. 9.0; d = 1.629 Å, 2θ = 56.5°, rel. 4.6; d = 1.483 Å, 2θ = 62.6°, rel. 14.0; d = 1.473 Å, 2θ = 63.1°, rel. 4.1; d = 1.332 Å, 2θ = 70.7°, rel. 15.0; d = 1.238 Å, 2θ = 77.0°, rel. 28.6; d = 1.124 Å, 2θ = 86.6°, rel. 8.9

Cell and atoms:
```
Zn2Pd3Au
1.0
2.967 0.000 0.000
0.000 2.967 0.000
0.000 0.000 10.342
Zn Pd Au
2 3 1
Cartesian
0.000 0.000 1.650
0.000 0.000 8.691
1.483 1.483 0.000
1.483 1.483 3.213
1.483 1.483 7.129
0.000 0.000 5.171
```


# 4
# Zr6PdAu
Simulated XRD peak list, λ = 1.5418 Å (Cu Kα). Input: a crystal structure in Alexandria, relaxed with GGA-PBE.
No peak broadening, texture or thermal motion is included.

Largest 12 diffraction maxima, by angle, 2θ from 15° to 90°:
d = 4.412 Å, 2θ = 20.1°, rel. 4.0; d = 3.498 Å, 2θ = 25.5°, rel. 2.5; d = 2.533 Å, 2θ = 35.4°, rel. 100.0; d = 2.292 Å, 2θ = 39.3°, rel. 38.3; d = 2.077 Å, 2θ = 43.6°, rel. 4.8; d = 2.029 Å, 2θ = 44.7°, rel. 12.0; d = 1.621 Å, 2θ = 56.8°, rel. 13.8; d = 1.519 Å, 2θ = 61.0°, rel. 19.0; d = 1.365 Å, 2θ = 68.8°, rel. 27.9; d = 1.267 Å, 2θ = 75.0°, rel. 10.4; d = 1.249 Å, 2θ = 76.3°, rel. 8.5; d = 1.146 Å, 2θ = 84.5°, rel. 5.3

Cell and atoms:
```
Zr6PdAu
1.0
-2.292 2.292 8.117
2.292 -2.292 8.117
2.292 2.292 -8.117
Zr Pd Au
6 1 1
Cartesian
2.292 0.000 1.877
0.000 0.000 4.050
2.292 0.000 6.241
0.000 2.292 1.877
0.000 0.000 12.184
0.000 2.292 6.241
0.000 0.000 0.000
0.000 0.000 8.117
```


# 5
# Zr2Pd3Au3
Simulated XRD peak list, λ = 1.5418 Å (Cu Kα). Input: a crystal structure in Alexandria, relaxed with GGA-PBE.
No peak broadening, texture or thermal motion is included.

Largest 12 diffraction maxima, by angle, 2θ from 15° to 90°:
d = 3.703 Å, 2θ = 24.0°, rel. 13.0; d = 2.616 Å, 2θ = 34.3°, rel. 21.6; d = 2.340 Å, 2θ = 38.5°, rel. 100.0; d = 2.138 Å, 2θ = 42.3°, rel. 39.6; d = 2.132 Å, 2θ = 42.4°, rel. 11.7; d = 1.512 Å, 2θ = 61.3°, rel. 9.1; d = 1.453 Å, 2θ = 64.1°, rel. 11.5; d = 1.450 Å, 2θ = 64.3°, rel. 11.1; d = 1.400 Å, 2θ = 66.8°, rel. 13.0; d = 1.396 Å, 2θ = 67.1°, rel. 7.1; d = 1.308 Å, 2θ = 72.2°, rel. 12.4; d = 1.143 Å, 2θ = 84.8°, rel. 10.7

Cell and atoms:
```
Zr2Pd3Au3
1.0
3.705 2.139 3.013
-3.705 2.139 3.013
0.000 -4.278 3.013
Zr Pd Au
2 3 3
Cartesian
0.000 0.000 2.231
0.000 0.000 6.809
-0.926 -2.674 3.013
-1.853 2.139 3.013
2.779 0.535 3.013
-1.867 0.000 4.520
0.934 -1.617 4.520
0.934 1.617 4.520
```


# 6
# Zr2Pd3Au6
Simulated XRD peak list, λ = 1.5418 Å (Cu Kα). Input: a crystal structure in Alexandria, relaxed with GGA-PBE.
No peak broadening, texture or thermal motion is included.

Largest 12 diffraction maxima, by angle, 2θ from 15° to 90°:
d = 4.049 Å, 2θ = 22.0°, rel. 87.1; d = 2.476 Å, 2θ = 36.3°, rel. 33.9; d = 2.428 Å, 2θ = 37.0°, rel. 73.3; d = 2.362 Å, 2θ = 38.1°, rel. 93.0; d = 2.334 Å, 2θ = 38.6°, rel. 73.5; d = 2.285 Å, 2θ = 39.4°, rel. 100.0; d = 2.266 Å, 2θ = 39.8°, rel. 46.6; d = 2.243 Å, 2θ = 40.2°, rel. 83.0; d = 2.196 Å, 2θ = 41.1°, rel. 27.4; d = 2.161 Å, 2θ = 41.8°, rel. 33.6; d = 2.116 Å, 2θ = 42.7°, rel. 81.1; d = 1.338 Å, 2θ = 70.3°, rel. 27.0

Cell and atoms:
```
Zr2Pd3Au6
1.0
4.878 0.000 0.000
2.055 4.557 0.000
1.929 0.842 9.336
Zr Pd Au
2 3 6
Cartesian
2.227 2.348 1.567
6.636 3.052 7.768
1.992 2.700 4.668
4.026 4.556 8.317
4.837 0.843 1.019
3.708 4.718 3.414
4.475 3.443 5.878
4.209 1.749 8.349
4.654 3.651 0.986
4.388 1.956 3.458
5.154 0.682 5.921
```


# 7
# Zr3Pd8Au2
Simulated XRD peak list, λ = 1.5418 Å (Cu Kα). Input: a crystal structure in Alexandria, relaxed with GGA-PBE.
No peak broadening, texture or thermal motion is included.

Largest 12 diffraction maxima, by angle, 2θ from 15° to 90°:
d = 3.885 Å, 2θ = 22.9°, rel. 25.4; d = 2.626 Å, 2θ = 34.1°, rel. 54.2; d = 2.539 Å, 2θ = 35.3°, rel. 44.7; d = 2.333 Å, 2θ = 38.6°, rel. 100.0; d = 2.323 Å, 2θ = 38.8°, rel. 27.7; d = 2.248 Å, 2θ = 40.1°, rel. 65.1; d = 2.126 Å, 2θ = 42.5°, rel. 32.7; d = 2.060 Å, 2θ = 44.0°, rel. 21.8; d = 2.007 Å, 2θ = 45.2°, rel. 30.0; d = 1.453 Å, 2θ = 64.1°, rel. 44.4; d = 1.313 Å, 2θ = 71.9°, rel. 31.6; d = 1.144 Å, 2θ = 84.7°, rel. 20.7

Cell and atoms:
```
Zr3Pd8Au2
1.0
2.626 1.516 9.965
-2.626 1.516 9.965
0.000 -3.032 9.965
Zr Pd Au
3 8 2
Cartesian
0.000 0.000 0.000
0.000 0.000 5.624
0.000 0.000 24.271
-1.314 -0.758 16.713
0.000 -1.517 13.182
-1.314 0.758 13.182
0.000 0.000 8.229
0.000 0.000 21.666
1.314 -0.758 16.713
0.000 1.517 16.713
1.314 0.758 13.182
0.000 0.000 10.839
0.000 0.000 19.055
```


# 8
# ZrPd6Au12
Simulated XRD peak list, λ = 1.5418 Å (Cu Kα). Input: a crystal structure in Alexandria, relaxed with GGA-PBE.
No peak broadening, texture or thermal motion is included.

Largest 12 diffraction maxima, by angle, 2θ from 15° to 90°:
d = 3.125 Å, 2θ = 28.6°, rel. 21.7; d = 2.854 Å, 2θ = 31.3°, rel. 16.4; d = 2.329 Å, 2θ = 38.7°, rel. 100.0; d = 2.324 Å, 2θ = 38.7°, rel. 33.0; d = 2.208 Å, 2θ = 40.9°, rel. 76.3; d = 2.105 Å, 2θ = 43.0°, rel. 19.4; d = 1.647 Å, 2θ = 55.8°, rel. 8.4; d = 1.563 Å, 2θ = 59.1°, rel. 11.2; d = 1.369 Å, 2θ = 68.6°, rel. 19.8; d = 1.298 Å, 2θ = 72.9°, rel. 15.1; d = 1.296 Å, 2θ = 73.0°, rel. 11.0; d = 1.179 Å, 2θ = 81.6°, rel. 9.0

Cell and atoms:
```
ZrPd6Au12
1.0
4.944 2.854 4.024
-4.944 2.854 4.024
0.000 -5.709 4.024
Zr Pd Au
1 6 12
Cartesian
0.000 0.000 0.000
-0.701 -3.130 4.485
-2.360 2.173 4.485
-3.062 -0.958 7.588
3.062 0.958 4.485
2.360 -2.173 7.588
0.701 3.130 7.588
-1.656 0.317 2.352
0.554 -1.593 2.352
-1.920 -0.566 5.032
1.103 1.276 2.352
-0.470 -1.946 7.041
1.450 -1.380 5.032
-1.450 1.380 7.041
0.470 1.946 5.032
-1.103 -1.276 9.721
1.920 0.566 7.041
-0.554 1.593 9.721
1.656 -0.317 9.721
```


# 9
# ZrPd2Au3
Simulated XRD peak list, λ = 1.5418 Å (Cu Kα). Input: a crystal structure in Alexandria, relaxed with GGA-PBE.
No peak broadening, texture or thermal motion is included.

Largest 12 diffraction maxima, by angle, 2θ from 15° to 90°:
d = 3.915 Å, 2θ = 22.7°, rel. 17.0; d = 2.693 Å, 2θ = 33.3°, rel. 50.6; d = 2.469 Å, 2θ = 36.4°, rel. 37.0; d = 2.427 Å, 2θ = 37.0°, rel. 64.6; d = 2.299 Å, 2θ = 39.2°, rel. 100.0; d = 2.089 Å, 2θ = 43.3°, rel. 95.9; d = 1.803 Å, 2θ = 50.6°, rel. 30.8; d = 1.375 Å, 2θ = 68.2°, rel. 37.3; d = 1.326 Å, 2θ = 71.1°, rel. 22.0; d = 1.235 Å, 2θ = 77.3°, rel. 15.6; d = 1.217 Å, 2θ = 78.6°, rel. 26.5; d = 1.196 Å, 2θ = 80.3°, rel. 22.9

Cell and atoms:
```
ZrPd2Au3
1.0
2.819 -3.915 0.000
2.819 3.915 0.000
-0.195 0.000 9.879
Zr Pd Au
2 4 6
Cartesian
2.672 3.340 7.409
2.770 -3.340 2.470
2.039 2.015 3.682
3.501 2.015 1.258
1.941 -2.015 8.621
3.404 -2.015 6.197
1.429 0.514 0.009
1.332 -0.514 4.948
2.672 0.467 7.409
2.770 -0.467 2.470
4.111 0.514 4.931
4.013 -0.514 9.870
```


# 10
# ZrPd5Au6
Simulated XRD peak list, λ = 1.5418 Å (Cu Kα). Input: a crystal structure in Alexandria, relaxed with GGA-PBE.
No peak broadening, texture or thermal motion is included.

Largest 12 diffraction maxima, by angle, 2θ from 15° to 90°:
d = 4.058 Å, 2θ = 21.9°, rel. 8.7; d = 2.359 Å, 2θ = 38.2°, rel. 100.0; d = 2.063 Å, 2θ = 43.9°, rel. 16.8; d = 2.036 Å, 2θ = 44.5°, rel. 16.3; d = 2.029 Å, 2θ = 44.7°, rel. 15.9; d = 1.449 Å, 2θ = 64.3°, rel. 10.8; d = 1.447 Å, 2θ = 64.4°, rel. 10.6; d = 1.437 Å, 2θ = 64.9°, rel. 10.5; d = 1.241 Å, 2θ = 76.8°, rel. 12.8; d = 1.229 Å, 2θ = 77.7°, rel. 12.7; d = 1.226 Å, 2θ = 77.9°, rel. 12.3; d = 1.179 Å, 2θ = 81.6°, rel. 11.1

Cell and atoms:
```
ZrPd5Au6
1.0
-2.036 4.058 6.189
2.036 -4.058 6.189
2.036 4.058 -6.189
Zr Pd Au
1 5 6
Cartesian
0.000 0.000 0.000
2.036 0.000 1.961
0.000 0.000 4.106
0.000 4.058 0.000
0.000 0.000 8.271
0.000 4.058 4.227
2.036 -2.005 4.112
2.036 2.103 0.000
0.000 2.053 2.077
2.036 2.005 4.112
0.000 1.955 6.189
0.000 6.064 2.077
```


# 11
# Zr3Pd6Au
Simulated XRD peak list, λ = 1.5418 Å (Cu Kα). Input: a crystal structure in Alexandria, relaxed with GGA-PBE.
No peak broadening, texture or thermal motion is included.

Largest 12 diffraction maxima, by angle, 2θ from 15° to 90°:
d = 2.679 Å, 2θ = 33.4°, rel. 48.5; d = 2.546 Å, 2θ = 35.2°, rel. 91.7; d = 2.391 Å, 2θ = 37.6°, rel. 58.0; d = 2.347 Å, 2θ = 38.4°, rel. 24.9; d = 2.335 Å, 2θ = 38.6°, rel. 44.3; d = 2.227 Å, 2θ = 40.5°, rel. 100.0; d = 2.212 Å, 2θ = 40.8°, rel. 27.5; d = 2.192 Å, 2θ = 41.2°, rel. 37.9; d = 2.104 Å, 2θ = 43.0°, rel. 83.9; d = 2.028 Å, 2θ = 44.7°, rel. 30.0; d = 1.895 Å, 2θ = 48.0°, rel. 36.2; d = 1.650 Å, 2θ = 55.7°, rel. 24.7

Cell and atoms:
```
Zr3Pd6Au
1.0
4.914 -7.499 0.000
4.914 7.499 0.000
0.000 0.000 4.898
Zr Pd Au
6 12 2
Cartesian
4.914 5.849 2.449
3.213 1.517 4.187
3.213 -1.517 1.738
6.615 1.517 4.187
6.615 -1.517 1.738
4.914 -5.849 0.000
2.421 3.111 1.277
1.461 0.701 2.277
1.461 -0.701 4.726
4.914 4.319 0.125
2.421 -3.111 3.726
4.914 0.636 1.420
4.914 -0.636 3.869
7.407 3.111 1.277
4.914 -4.319 2.574
8.368 0.701 2.277
8.368 -0.701 4.726
7.407 -3.111 3.726
4.914 3.054 2.547
4.914 -3.054 0.097
```


# 12
# Pm3Au
Simulated XRD peak list, λ = 1.5418 Å (Cu Kα). Input: a crystal structure in Alexandria, relaxed with GGA-PBE.
No peak broadening, texture or thermal motion is included.

Largest 12 diffraction maxima, by angle, 2θ from 15° to 90°:
d = 2.979 Å, 2θ = 30.0°, rel. 18.6; d = 2.953 Å, 2θ = 30.3°, rel. 100.0; d = 2.814 Å, 2θ = 31.8°, rel. 19.4; d = 2.709 Å, 2θ = 33.1°, rel. 80.2; d = 2.650 Å, 2θ = 33.8°, rel. 45.6; d = 2.512 Å, 2θ = 35.7°, rel. 20.9; d = 2.469 Å, 2θ = 36.4°, rel. 43.9; d = 1.911 Å, 2θ = 47.6°, rel. 25.3; d = 1.635 Å, 2θ = 56.3°, rel. 30.2; d = 1.615 Å, 2θ = 57.0°, rel. 16.0; d = 1.603 Å, 2θ = 57.5°, rel. 14.6; d = 1.550 Å, 2θ = 59.7°, rel. 18.0

Cell and atoms:
```
Pm3Au
1.0
1.910 -6.238 0.000
1.910 6.238 0.000
0.000 0.000 10.047
Pm Au
6 2
Cartesian
1.910 5.459 7.535
1.910 1.676 5.532
1.910 1.676 9.539
1.910 -1.676 0.508
1.910 -1.676 4.515
1.910 -5.459 2.512
1.910 3.273 2.512
1.910 -3.273 7.535
```